This entry pairs a crystal structure of LaPm6Te8 with its computed powder diffractogram. Radiation: a wavelength of 1.5418 Å. Structure: a cell relaxed with PBE.
Peak positions follow from Bragg's law for the DFT cell and can differ from measured ones.

Crystal structure
```
LaPm6Te8
1.0
0.000 6.305 6.305
6.305 0.000 6.305
6.305 6.305 0.000
La Pm Te
1 6 8
direct
0.000 0.000 0.000
0.000 0.000 0.500
0.000 0.500 0.000
0.000 0.500 0.500
0.500 0.000 0.000
0.500 0.000 0.500
0.500 0.500 0.000
0.250 0.250 0.250
0.259 0.259 0.741
0.259 0.741 0.259
0.259 0.741 0.741
0.741 0.259 0.259
0.741 0.259 0.741
0.741 0.741 0.259
0.750 0.750 0.750
```

Top 12 peaks for 2θ = 5–70°, most intense first:
d (Å)  two_theta  I_rel
3.153  28.31  100
2.229  40.46  76
1.410  66.30  34
1.820  50.12  27
1.576  58.56  13
3.802  23.40  4
2.893  30.91  3
6.305  14.05  3
4.458  19.91  3
1.642  56.01  2
7.281  12.16  2
2.820  31.73  2



This entry pairs a crystal structure of La2Pm3Te6 with its computed powder diffractogram. Radiation: a wavelength of 1.5418 Å. Structure: a cell relaxed with PBE.
Peak positions follow from Bragg's law for the DFT cell and can differ from measured ones.

Crystal structure
```
La2Pm3Te6
1.0
3.882 -6.702 0.000
3.882 6.702 0.000
-2.598 0.000 7.397
La Pm Te
2 3 6
direct
0.165 0.835 0.000
0.835 0.165 0.000
0.000 0.000 0.500
0.331 0.669 0.500
0.669 0.331 0.500
0.093 0.417 0.750
0.260 0.260 0.252
0.417 0.093 0.750
0.583 0.907 0.250
0.740 0.740 0.748
0.907 0.583 0.250
```

Top 12 peaks for 2θ = 5–70°, most intense first:
d (Å)  two_theta  I_rel
3.177  28.09  100
2.256  39.97  39
2.240  40.27  25
1.828  49.87  13
2.234  40.38  12
1.426  65.46  12
1.587  58.12  8
1.849  49.27  7
1.831  49.79  7
1.424  65.53  6
1.419  65.84  6
1.416  65.96  6



This entry pairs a crystal structure of LaPm5Te8 with its computed powder diffractogram. Radiation: a wavelength of 1.5418 Å. Structure: a cell relaxed with PBE.
Peak positions follow from Bragg's law for the DFT cell and can differ from measured ones.

Crystal structure
```
LaPm5Te8
1.0
-4.775 4.775 4.739
4.775 -4.775 4.739
4.775 4.775 -4.739
La Pm Te
1 5 8
direct
0.000 0.000 0.000
0.124 0.505 0.879
0.250 0.750 0.500
0.495 0.374 0.619
0.626 0.245 0.121
0.755 0.876 0.381
0.025 0.276 0.404
0.230 0.127 0.751
0.376 0.479 0.249
0.380 0.975 0.251
0.521 0.770 0.897
0.724 0.128 0.749
0.872 0.620 0.596
0.873 0.624 0.103
```

Top 12 peaks for 2θ = 5–70°, most intense first:
d (Å)  two_theta  I_rel
3.018  29.59  100
2.549  35.21  70
2.999  29.79  49
2.540  35.34  33
1.548  59.72  21
2.031  44.62  17
2.133  42.37  16
1.947  46.66  15
1.509  61.44  12
3.888  22.87  11
1.872  48.63  10
1.864  48.86  9



This entry pairs a crystal structure of La4PmTe5 with its computed powder diffractogram. Radiation: a wavelength of 1.5418 Å. Structure: a cell relaxed with PBE.
Peak positions follow from Bragg's law for the DFT cell and can differ from measured ones.

Crystal structure
```
La4PmTe5
1.0
-5.093 5.093 3.229
5.093 -5.093 3.229
5.093 5.093 -3.229
La Pm Te
4 1 5
direct
0.099 0.699 0.797
0.301 0.099 0.400
0.699 0.901 0.600
0.901 0.301 0.203
0.500 0.500 0.000
0.000 0.000 0.000
0.204 0.400 0.604
0.400 0.796 0.196
0.600 0.204 0.804
0.796 0.600 0.396
```

Top 8 peaks for 2θ = 5–70°, most intense first:
d (Å)  two_theta  I_rel
3.224  27.67  100
2.280  39.53  77
1.861  48.94  28
1.441  64.69  24
1.443  64.57  12
1.611  57.19  9
1.614  57.05  4
3.722  23.90  1